Structure and simulated powder X-ray diffraction pattern of K2MoCl3F3 (a GGA+U-relaxed structure; Cu Kα).
Lines closer than 0.1° are merged.

a b c (Å): 7.1908 7.1908 3.9160
angles (deg): 90.00 90.00 120.00
Space group P-62m (No. 189)
One atom of each set of equivalent atoms:
K (0.3333, 0.6667, 0.0000)
Mo (0.0000, 0.0000, 0.5000)
Cl (0.0000, 0.6638, 0.5000)
F (0.0000, 0.2092, 0.0000)

Principal peaks in the range 10° ≤ 2θ ≤ 90°, sorted by position:
14.2 deg, rel. 100, (1 0 0)
24.8 deg, rel. 68, (1 1 0)
26.9 deg, rel. 69, (1 0 1)
33.8 deg, rel. 51, (1 1 1)
36.9 deg, rel. 61, (2 0 1)
43.6 deg, rel. 58, (3 0 0)
44.9 deg, rel. 79, (2 1 1)
65.5 deg, rel. 31, (3 0 2)